Record 1
Computed powder XRD pattern of GaSbPt2 for a wavelength of 1.5418 Å, from the GGA-PBE geometry in Alexandria.
Kinematic intensities with the Lorentz-polarization factor, no thermal factor.

The 6 most intense peaks (2θ = 10–80°), in order of rising 2θ:
| (hkl) | 2theta | Rel. int. |
| --- | --- | --- |
| 0 0 2 | 25.32 | 33 |
| 0 4 1 | 25.79 | 64 |
| 1 4 1 | 30.53 | 31 |
| 2 0 2 | 41.58 | 56 |
| 2 4 1 | 41.89 | 100 |
| 0 4 3 | 44.90 | 60 |

Structure:
```
data_GaSbPt2
_symmetry_space_group_name_H-M 'P b c a'
_symmetry_Int_Tables_number 61
_cell_length_a 5.5223
_cell_length_b 15.8579
_cell_length_c 7.0364
_cell_angle_alpha 90.00
_cell_angle_beta 90.00
_cell_angle_gamma 90.00
loop_
_symmetry_equiv_pos_as_xyz
'x,y,z'
'-x,-y,-z'
'-x+1/2,-y,z+1/2'
'x+1/2,y,-z+1/2'
'x+1/2,-y+1/2,-z'
'-x+1/2,y+1/2,z'
'-x,y+1/2,-z+1/2'
'x,-y+1/2,z+1/2'
loop_
_atom_site_label
_atom_site_type_symbol
_atom_site_fract_x
_atom_site_fract_y
_atom_site_fract_z
_atom_site_occupancy
Ga1 Ga 0.2488 0.0623 0.0727 1
Sb1 Sb 0.2493 0.6828 0.5838 1
Pt1 Pt 0.0002 0.0521 0.7492 1
Pt2 Pt 0.9998 0.1816 0.2505 1
```


Record 2
Computed powder XRD pattern of Sc2Ga5Pt3 for a wavelength of 1.5418 Å, from the GGA-PBE geometry in Alexandria.
Kinematic intensities with the Lorentz-polarization factor, no thermal factor.

The 6 most intense peaks (2θ = 10–80°), in order of rising 2θ:
| (hkl) | 2theta | Rel. int. |
| --- | --- | --- |
| 1 1 1 | 25.18 | 44 |
| 1 7 1 | 35.80 | 44 |
| 1 3 2 | 36.20 | 100 |
| 1 9 0 | 39.08 | 41 |
| 2 0 0 | 42.49 | 61 |
| 1 9 2 | 48.23 | 79 |

Structure:
```
data_Sc2Ga5Pt3
_symmetry_space_group_name_H-M 'C m c 21'
_symmetry_Int_Tables_number 36
_cell_length_a 4.2553
_cell_length_b 24.6483
_cell_length_c 6.5815
_cell_angle_alpha 90.00
_cell_angle_beta 90.00
_cell_angle_gamma 90.00
loop_
_symmetry_equiv_pos_as_xyz
'x,y,z'
'-x,-y,z+1/2'
'-x,y,z'
'x,-y,z+1/2'
'x+1/2,y+1/2,z'
'-x+1/2,-y+1/2,z+1/2'
'-x+1/2,y+1/2,z'
'x+1/2,-y+1/2,z+1/2'
loop_
_atom_site_label
_atom_site_type_symbol
_atom_site_fract_x
_atom_site_fract_y
_atom_site_fract_z
_atom_site_occupancy
Sc1 Sc 0.0000 0.0158 0.0000 1
Sc2 Sc 0.0000 0.3263 0.9793 1
Ga1 Ga 0.0000 0.1033 0.6587 1
Ga2 Ga 0.0000 0.2052 0.1818 1
Ga3 Ga 0.0000 0.2067 0.7603 1
Ga4 Ga 0.0000 0.3782 0.5088 1
Ga5 Ga 0.0000 0.4506 0.8239 1
Pt1 Pt 0.0000 0.1043 0.2624 1
Pt2 Pt 0.0000 0.2749 0.4688 1
Pt3 Pt 0.0000 0.4500 0.2203 1
```


Record 3
Computed powder XRD pattern of Sc3GaPt2 for a wavelength of 1.5418 Å, from the GGA-PBE geometry in Alexandria.
Kinematic intensities with the Lorentz-polarization factor, no thermal factor.

The 6 most intense peaks (2θ = 10–80°), in order of rising 2θ:
| (hkl) | 2theta | Rel. int. |
| --- | --- | --- |
| 1 0 0 | 26.32 | 39 |
| 0 0 3 | 28.00 | 25 |
| 1 1 0 | 37.57 | 53 |
| 1 0 3 | 38.82 | 100 |
| 2 0 0 | 54.18 | 19 |
| 2 1 3 | 68.63 | 35 |

Structure:
```
data_Sc3GaPt2
_symmetry_space_group_name_H-M 'P 4/m m m'
_symmetry_Int_Tables_number 123
_symmetry_space_group_name_Hall '-P 4 2'
_cell_length_a 3.3859
_cell_length_b 3.3859
_cell_length_c 9.5517
_cell_angle_alpha 90.00
_cell_angle_beta 90.00
_cell_angle_gamma 90.00
loop_
_atom_site_label
_atom_site_type_symbol
_atom_site_fract_x
_atom_site_fract_y
_atom_site_fract_z
_atom_site_occupancy
Sc1 Sc 0.0000 0.0000 0.0000 1
Sc2 Sc 0.0000 0.0000 0.3279 1
Ga1 Ga 0.5000 0.5000 0.5000 1
Pt1 Pt 0.5000 0.5000 0.1682 1
```


Record 4
Computed powder XRD pattern of Sc6Ga3Pt for a wavelength of 1.5418 Å, from the GGA-PBE geometry in Alexandria.
Kinematic intensities with the Lorentz-polarization factor, no thermal factor.

The 6 most intense peaks (2θ = 10–80°), in order of rising 2θ:
| (hkl) | 2theta | Rel. int. |
| --- | --- | --- |
| 2 0 0 | 21.79 | 33 |
| 1 2 1 | 27.42 | 45 |
| 0 4 0 | 33.23 | 65 |
| 0 0 2 | 38.22 | 100 |
| 2 4 0 | 40.10 | 44 |
| 0 4 2 | 51.53 | 40 |

Structure:
```
data_Sc6Ga3Pt
_symmetry_space_group_name_H-M 'P n n m'
_symmetry_Int_Tables_number 58
_cell_length_a 8.1643
_cell_length_b 10.7826
_cell_length_c 4.7052
_cell_angle_alpha 90.00
_cell_angle_beta 90.00
_cell_angle_gamma 90.00
loop_
_symmetry_equiv_pos_as_xyz
'x,y,z'
'-x,-y,-z'
'-x,-y,z'
'x,y,-z'
'x+1/2,-y+1/2,-z+1/2'
'-x+1/2,y+1/2,z+1/2'
'-x+1/2,y+1/2,-z+1/2'
'x+1/2,-y+1/2,z+1/2'
loop_
_atom_site_label
_atom_site_type_symbol
_atom_site_fract_x
_atom_site_fract_y
_atom_site_fract_z
_atom_site_occupancy
Sc1 Sc 0.0059 0.2455 0.0000 1
Sc2 Sc 0.1647 0.0883 0.5000 1
Sc3 Sc 0.1737 0.4080 0.5000 1
Ga1 Ga 0.0000 0.5000 0.0000 1
Ga2 Ga 0.1609 0.7369 0.5000 1
Pt1 Pt 0.0000 0.0000 0.0000 1
```


Number 1 is which compound?
GaSbPt2